Starting from a cell relaxed with GGA-PBE, the powder XRD pattern of TmTc3P2 was simulated for Cu Kα.

Crystal structure
a b c (Å): 8.070 8.070 9.410
angles (deg): 105.30 105.30 28.90
Element x y z (fractional)
Tm1 0.000 0.000 0.000
Tm2 0.162 0.162 0.711
Tm3 0.838 0.838 0.289
Tc1 0.035 0.035 0.358
Tc2 0.208 0.208 0.389
Tc3 0.320 0.320 0.022
Tc4 0.383 0.383 0.799
Tc5 0.500 0.500 0.500
Tc6 0.617 0.617 0.201
Tc7 0.680 0.680 0.978
Tc8 0.792 0.792 0.611
Tc9 0.965 0.965 0.642
P1 0.198 0.198 0.134
P2 0.353 0.353 0.537
P3 0.459 0.459 0.208
P4 0.541 0.541 0.792
P5 0.647 0.647 0.463
P6 0.802 0.802 0.866

Most intense lines, 2θ = 10–90°, sorted by position:
| 2theta | I (rel.) |
| --- | --- |
| 31.74 | 47.7 |
| 34.93 | 13.5 |
| 35.84 | 22.2 |
| 36.38 | 100.0 |
| 37.32 | 15.0 |
| 37.55 | 15.8 |
| 38.29 | 24.4 |
| 40.01 | 15.0 |
| 40.80 | 17.6 |
| 45.03 | 39.4 |
| 46.55 | 12.0 |
| 50.32 | 13.2 |

Starting from a cell relaxed with GGA-PBE, the powder XRD pattern of U2Tc12P7 was simulated for Cu Kα.

Crystal structure
a b c (Å): 9.557 9.557 3.918
angles (deg): 90.00 90.00 120.00
Element x y z (fractional)
U1 0.000 0.000 0.000
U2 0.333 0.667 0.500
Tc1 0.050 0.281 0.500
Tc2 0.102 0.705 0.000
Tc3 0.231 0.950 0.500
Tc4 0.295 0.397 0.000
Tc5 0.389 0.179 0.000
Tc6 0.548 0.427 0.500
Tc7 0.573 0.121 0.500
Tc8 0.603 0.898 0.000
Tc9 0.719 0.769 0.500
Tc10 0.790 0.611 0.000
Tc11 0.821 0.210 0.000
Tc12 0.879 0.452 0.500
P1 0.076 0.450 0.000
P2 0.264 0.222 0.500
P3 0.374 0.924 0.000
P4 0.550 0.626 0.000
P5 0.667 0.333 0.000
P6 0.778 0.043 0.500
P7 0.957 0.736 0.500

Most intense lines, 2θ = 10–90°, sorted by position:
| 2theta | I (rel.) |
| --- | --- |
| 25.15 | 11.2 |
| 28.53 | 13.9 |
| 36.76 | 100.0 |
| 39.25 | 9.0 |
| 43.75 | 9.6 |
| 45.81 | 8.6 |
| 46.34 | 17.1 |
| 50.53 | 14.7 |
| 53.64 | 9.2 |
| 64.10 | 9.0 |
| 70.98 | 10.8 |
| 79.52 | 10.7 |

Starting from a cell relaxed with GGA-PBE, the powder XRD pattern of TcPW was simulated for Cu Kα.

Crystal structure
a b c (Å): 4.134 4.134 2.887
angles (deg): 90.00 90.00 120.00
Element x y z (fractional)
Tc1 0.000 0.000 0.000
P1 0.667 0.333 0.000
W1 0.333 0.667 0.500

Most intense lines, 2θ = 10–90°, sorted by position:
| 2theta | I (rel.) |
| --- | --- |
| 24.87 | 44.7 |
| 40.12 | 100.0 |
| 43.79 | 58.6 |
| 51.01 | 6.8 |
| 60.89 | 29.3 |
| 64.56 | 6.1 |
| 69.45 | 5.5 |
| 70.31 | 5.3 |
| 77.97 | 28.7 |
| 80.47 | 9.9 |
| 81.29 | 19.3 |
| 86.63 | 3.1 |

Starting from a cell relaxed with GGA-PBE, the powder XRD pattern of Zr3Tc6P5 was simulated for Cu Kα.

Crystal structure
a b c (Å): 3.920 12.143 9.206
angles (deg): 90.00 90.00 90.00
Element x y z (fractional)
Zr1 0.250 0.078 0.249
Zr2 0.250 0.422 0.249
Zr3 0.250 0.750 0.275
Zr4 0.750 0.250 0.725
Zr5 0.750 0.578 0.751
Zr6 0.750 0.922 0.751
Tc1 0.250 0.059 0.590
Tc2 0.250 0.250 0.450
Tc3 0.250 0.250 0.981
Tc4 0.250 0.441 0.590
Tc5 0.250 0.582 0.006
Tc6 0.250 0.918 0.006
Tc7 0.750 0.082 0.994
Tc8 0.750 0.418 0.994
Tc9 0.750 0.559 0.410
Tc10 0.750 0.750 0.019
Tc11 0.750 0.750 0.550
Tc12 0.750 0.941 0.410
P1 0.250 0.083 0.844
P2 0.250 0.417 0.844
P3 0.250 0.628 0.535
P4 0.250 0.750 0.873
P5 0.250 0.872 0.535
P6 0.750 0.128 0.465
P7 0.750 0.250 0.127
P8 0.750 0.372 0.465
P9 0.750 0.583 0.156
P10 0.750 0.917 0.156

Most intense lines, 2θ = 10–90°, sorted by position:
| 2theta | I (rel.) |
| --- | --- |
| 19.28 | 17.2 |
| 33.27 | 26.1 |
| 33.46 | 22.2 |
| 36.75 | 35.8 |
| 37.21 | 27.6 |
| 37.44 | 100.0 |
| 44.78 | 28.8 |
| 45.00 | 13.1 |
| 46.32 | 35.5 |
| 60.54 | 16.1 |
| 66.40 | 17.5 |
| 69.81 | 14.5 |

Starting from a cell relaxed with GGA-PBE, the powder XRD pattern of TeP5 was simulated for Cu Kα.

Crystal structure
a b c (Å): 5.142 5.142 9.610
angles (deg): 113.03 113.03 36.79
Element x y z (fractional)
Te1 0.000 0.000 0.000
P1 0.030 0.030 0.750
P2 0.318 0.318 0.399
P3 0.360 0.360 0.645
P4 0.646 0.646 0.437
P5 0.963 0.963 0.339

Most intense lines, 2θ = 10–90°, sorted by position:
| 2theta | I (rel.) |
| --- | --- |
| 18.28 | 100.0 |
| 19.98 | 92.4 |
| 20.29 | 51.5 |
| 25.95 | 41.4 |
| 28.86 | 55.9 |
| 29.30 | 58.4 |
| 29.64 | 47.4 |
| 30.63 | 55.9 |
| 32.44 | 71.1 |
| 39.60 | 43.1 |
| 41.26 | 86.1 |
| 43.50 | 41.5 |

Starting from a cell relaxed with GGA-PBE, the powder XRD pattern of Te2P was simulated for Cu Kα.

Crystal structure
a b c (Å): 6.127 6.127 9.273
angles (deg): 106.17 106.17 33.75
Element x y z (fractional)
Te1 0.000 0.000 0.000
Te2 0.248 0.248 0.162
Te3 0.285 0.285 0.648
Te4 0.517 0.517 0.394
P1 0.502 0.502 0.790
P2 0.943 0.943 0.552

Most intense lines, 2θ = 10–90°, sorted by position:
| 2theta | I (rel.) |
| --- | --- |
| 21.62 | 89.5 |
| 26.28 | 40.0 |
| 27.32 | 33.0 |
| 29.05 | 92.1 |
| 29.77 | 22.9 |
| 31.78 | 100.0 |
| 31.91 | 58.4 |
| 34.81 | 34.1 |
| 44.04 | 35.0 |
| 47.23 | 23.2 |
| 51.16 | 23.4 |
| 51.38 | 19.6 |

Starting from a cell relaxed with GGA-PBE, the powder XRD pattern of Te2P was simulated for Cu Kα.

Crystal structure
a b c (Å): 5.965 5.965 9.448
angles (deg): 100.51 100.51 34.69
Element x y z (fractional)
Te1 0.119 0.119 0.048
Te2 0.180 0.180 0.652
Te3 0.820 0.820 0.348
Te4 0.881 0.881 0.952
P1 0.483 0.483 0.380
P2 0.517 0.517 0.620

Most intense lines, 2θ = 10–90°, sorted by position:
| 2theta | I (rel.) |
| --- | --- |
| 22.45 | 100.0 |
| 26.29 | 41.3 |
| 27.24 | 26.3 |
| 28.56 | 54.4 |
| 28.88 | 60.5 |
| 31.79 | 85.2 |
| 34.15 | 27.9 |
| 34.88 | 89.8 |
| 35.27 | 36.4 |
| 48.95 | 82.8 |
| 49.32 | 23.7 |
| 55.06 | 20.6 |

Starting from a cell relaxed with GGA-PBE, the powder XRD pattern of Te3P was simulated for Cu Kα.

Crystal structure
a b c (Å): 5.286 5.286 5.286
angles (deg): 109.47 109.47 109.47
Element x y z (fractional)
Te1 0.000 0.500 0.500
Te2 0.500 0.000 0.500
Te3 0.500 0.500 0.000
P1 0.000 0.000 0.000

Most intense lines, 2θ = 10–90°, sorted by position:
| 2theta | I (rel.) |
| --- | --- |
| 20.58 | 24.4 |
| 29.26 | 100.0 |
| 36.04 | 12.3 |
| 41.86 | 74.5 |
| 47.08 | 5.9 |
| 51.89 | 26.3 |
| 56.40 | 6.9 |
| 60.69 | 12.2 |
| 64.80 | 3.4 |
| 68.78 | 33.5 |
| 76.45 | 24.8 |
| 80.18 | 3.6 |

Starting from a cell relaxed with GGA-PBE, the powder XRD pattern of Te3P5 was simulated for Cu Kα.

Crystal structure
a b c (Å): 8.654 8.654 3.671
angles (deg): 90.00 90.00 133.28
Element x y z (fractional)
Te1 0.000 0.000 0.000
Te2 0.317 0.683 0.500
Te3 0.683 0.317 0.500
P1 0.000 0.500 0.000
P2 0.285 0.285 0.500
P3 0.500 0.000 0.000
P4 0.500 0.500 0.000
P5 0.715 0.715 0.500

Most intense lines, 2θ = 10–90°, sorted by position:
| 2theta | I (rel.) |
| --- | --- |
| 21.19 | 100.0 |
| 22.38 | 29.4 |
| 25.96 | 24.5 |
| 26.75 | 21.1 |
| 28.13 | 43.5 |
| 33.85 | 19.9 |
| 37.63 | 86.6 |
| 39.75 | 40.1 |
| 43.11 | 41.9 |
| 54.58 | 15.8 |
| 59.37 | 18.4 |
| 67.84 | 21.4 |

Starting from a cell relaxed with GGA-PBE, the powder XRD pattern of Ti7Te12P was simulated for Cu Kα.

Crystal structure
a b c (Å): 8.604 8.604 8.604
angles (deg): 107.85 107.85 107.85
Element x y z (fractional)
Ti1 0.000 0.000 0.000
Ti2 0.190 0.471 0.392
Ti3 0.392 0.190 0.471
Ti4 0.471 0.392 0.190
Ti5 0.529 0.608 0.810
Ti6 0.608 0.810 0.529
Ti7 0.810 0.529 0.608
Te1 0.027 0.117 0.348
Te2 0.117 0.348 0.027
Te3 0.185 0.580 0.727
Te4 0.273 0.815 0.420
Te5 0.348 0.027 0.117
Te6 0.420 0.273 0.815
Te7 0.580 0.727 0.185
Te8 0.652 0.973 0.883
Te9 0.727 0.185 0.580
Te10 0.815 0.420 0.273
Te11 0.883 0.652 0.973
Te12 0.973 0.883 0.652
P1 0.500 0.500 0.500

Most intense lines, 2θ = 10–90°, sorted by position:
| 2theta | I (rel.) |
| --- | --- |
| 28.40 | 66.3 |
| 28.90 | 20.4 |
| 33.06 | 100.0 |
| 47.12 | 34.6 |
| 47.77 | 33.8 |
| 56.22 | 19.2 |
| 56.80 | 10.1 |
| 58.76 | 17.0 |
| 69.36 | 10.4 |
| 78.52 | 13.5 |
| 79.49 | 13.5 |
| 88.11 | 10.1 |

Starting from a cell relaxed with GGA-PBE, the powder XRD pattern of TlTe2P2 was simulated for Cu Kα.

Crystal structure
a b c (Å): 8.840 8.840 3.688
angles (deg): 90.00 90.00 90.00
Element x y z (fractional)
Tl1 0.000 0.000 0.000
Tl2 0.500 0.500 0.000
Te1 0.172 0.328 0.500
Te2 0.328 0.828 0.500
Te3 0.672 0.172 0.500
Te4 0.828 0.672 0.500
P1 0.189 0.689 0.000
P2 0.311 0.189 0.000
P3 0.689 0.811 0.000
P4 0.811 0.311 0.000

Most intense lines, 2θ = 10–90°, sorted by position:
| 2theta | I (rel.) |
| --- | --- |
| 14.17 | 53.5 |
| 22.49 | 42.5 |
| 28.09 | 74.2 |
| 28.56 | 56.4 |
| 31.60 | 77.8 |
| 32.02 | 100.0 |
| 33.22 | 78.6 |
| 47.99 | 25.3 |
| 49.15 | 34.6 |
| 50.30 | 39.2 |
| 60.11 | 33.1 |
| 61.13 | 22.9 |

Starting from a cell relaxed with GGA-PBE, the powder XRD pattern of Tm4TlTe2P was simulated for Cu Kα.

Crystal structure
a b c (Å): 7.407 4.128 7.418
angles (deg): 90.00 108.29 90.00
Element x y z (fractional)
Tm1 0.227 0.000 0.216
Tm2 0.243 0.500 0.768
Tm3 0.757 0.500 0.232
Tm4 0.773 0.000 0.784
Tl1 0.500 0.000 0.000
Te1 0.000 0.000 0.500
Te2 0.500 0.500 0.500
P1 0.000 0.500 0.000

Most intense lines, 2θ = 10–90°, sorted by position:
| 2theta | I (rel.) |
| --- | --- |
| 29.74 | 50.7 |
| 29.87 | 100.0 |
| 41.60 | 18.2 |
| 42.66 | 73.4 |
| 43.87 | 18.2 |
| 51.98 | 18.5 |
| 53.90 | 19.3 |
| 62.05 | 11.2 |
| 70.11 | 15.2 |
| 70.31 | 14.9 |
| 76.65 | 9.7 |
| 79.79 | 12.9 |

Starting from a cell relaxed with GGA-PBE, the powder XRD pattern of UTeP was simulated for Cu Kα.

Crystal structure
a b c (Å): 10.693 10.693 3.960
angles (deg): 90.00 90.00 158.63
Element x y z (fractional)
U1 0.090 0.910 0.000
U2 0.910 0.090 0.000
Te1 0.342 0.658 0.500
Te2 0.658 0.342 0.500
P1 0.000 0.000 0.500
P2 0.500 0.500 0.000

Most intense lines, 2θ = 10–90°, sorted by position:
| 2theta | I (rel.) |
| --- | --- |
| 16.88 | 88.3 |
| 22.83 | 33.3 |
| 24.02 | 42.3 |
| 31.01 | 64.3 |
| 32.23 | 100.0 |
| 34.18 | 93.0 |
| 34.48 | 53.7 |
| 37.58 | 40.3 |
| 38.62 | 56.3 |
| 45.80 | 53.1 |
| 49.11 | 50.8 |
| 58.34 | 41.0 |